No. 1
Diffraction record for TmIn2Si2Pt7. The X-ray powder pattern is theoretical, not measured: it uses a DFT-relaxed cell (PBE, Alexandria) and Cu Kα.
No peak broadening, texture or thermal motion is included.

Structure:
a b c (Å): 3.9872 3.9872 14.0936
angles (deg): 96.00 96.00 90.01
Fractional positions:
1 Tm 0.0000 0.0000 0.0000
2 In 0.1057 0.1057 0.3936
3 In 0.8943 0.8943 0.6064
4 Si 0.4086 0.4086 0.7476
5 Si 0.5914 0.5914 0.2524
6 Pt 0.0569 0.5577 0.1563
7 Pt 0.3787 0.3787 0.5817
8 Pt 0.4423 0.9431 0.8437
9 Pt 0.5000 0.5000 0.0000
10 Pt 0.5577 0.0569 0.1563
11 Pt 0.6213 0.6213 0.4183
12 Pt 0.9431 0.4423 0.8437

Principal peaks in the range 2θ from 10° to 90°, in order of rising 2θ:
2theta	intensity
12.70	25
32.11	50
32.40	30
34.31	54
35.00	68
36.43	81
37.30	86
42.32	22
45.54	100
45.77	55
50.93	22
66.35	34

No. 2
Diffraction record for La5Bi2N2. The X-ray powder pattern is theoretical, not measured: it uses a DFT-relaxed cell (PBE, Alexandria) and Cu Kα.
No peak broadening, texture or thermal motion is included.

Structure:
a b c (Å): 10.8414 10.8414 10.8414
angles (deg): 141.13 58.24 138.40
Fractional positions:
1 La 0.0000 0.0000 0.5000
2 La 0.0000 0.5000 0.0000
3 La 0.2079 0.0706 0.1373
4 La 0.2381 0.0000 0.7381
5 La 0.2381 0.5000 0.2381
6 La 0.4333 0.0706 0.3627
7 La 0.5667 0.9294 0.6373
8 La 0.7619 0.0000 0.2619
9 La 0.7619 0.5000 0.7619
10 La 0.7921 0.9294 0.8627
11 Bi 0.1218 0.4964 0.6254
12 Bi 0.3711 0.4964 0.8746
13 Bi 0.6289 0.5036 0.1254
14 Bi 0.8782 0.5036 0.3746
15 N 0.0000 0.0000 0.0000
16 N 0.2044 0.9544 0.2500
17 N 0.5000 0.0000 0.5000
18 N 0.7956 0.0456 0.7500

Principal peaks in the range 2θ from 10° to 90°, in order of rising 2θ:
2theta	intensity
25.30	13
26.22	17
27.71	14
29.91	96
31.17	100
34.06	76
38.00	28
50.61	15
51.94	39
57.67	18
59.91	27
65.00	12

No. 3
Diffraction record for RbFeBr3. The X-ray powder pattern is theoretical, not measured: it uses a DFT-relaxed cell (PBE, Alexandria) and Cu Kα.
No peak broadening, texture or thermal motion is included.

Structure:
a b c (Å): 7.8063 9.7036 12.5031
angles (deg): 90.00 126.11 90.00
Fractional positions:
1 Rb 0.1677 0.0814 0.2476
2 Rb 0.1677 0.4186 0.7476
3 Rb 0.8323 0.5814 0.2524
4 Rb 0.8323 0.9186 0.7524
5 Fe 0.4735 0.1206 0.0173
6 Fe 0.4735 0.3794 0.5173
7 Fe 0.5265 0.6206 0.4827
8 Fe 0.5265 0.8794 0.9827
9 Br 0.1356 0.1924 0.9662
10 Br 0.1356 0.3076 0.4662
11 Br 0.3053 0.6970 0.9709
12 Br 0.3053 0.8030 0.4709
13 Br 0.3380 0.0228 0.7880
14 Br 0.3380 0.4772 0.2880
15 Br 0.6620 0.5228 0.7120
16 Br 0.6620 0.9772 0.2120
17 Br 0.6947 0.1969 0.5291
18 Br 0.6947 0.3030 0.0291
19 Br 0.8644 0.6924 0.5338
20 Br 0.8644 0.8076 0.0338

Principal peaks in the range 2θ from 10° to 90°, in order of rising 2θ:
2theta	intensity
12.65	43
14.64	56
25.46	100
25.82	55
27.63	30
28.27	37
29.38	34
29.79	24
29.90	23
31.02	40
35.55	36
47.57	22

No. 4
Diffraction record for Th2ZnCu3Ge4. The X-ray powder pattern is theoretical, not measured: it uses a DFT-relaxed cell (PBE, Alexandria) and Cu Kα.
No peak broadening, texture or thermal motion is included.

Structure:
a b c (Å): 4.2546 4.2546 10.0925
angles (deg): 90.00 90.00 90.00
Fractional positions:
1 Th 0.0000 0.5000 0.2467
2 Th 0.5000 0.0000 0.7533
3 Zn 0.0000 0.0000 0.5000
4 Cu 0.0000 0.5000 0.8735
5 Cu 0.5000 0.0000 0.1265
6 Cu 0.5000 0.5000 0.5000
7 Ge 0.0000 0.0000 0.0000
8 Ge 0.0000 0.5000 0.6383
9 Ge 0.5000 0.0000 0.3617
10 Ge 0.5000 0.5000 0.0000

Principal peaks in the range 2θ from 10° to 90°, in order of rising 2θ:
2theta	intensity
22.68	26
29.70	25
33.97	69
34.72	100
42.50	51
50.01	29
55.48	34
61.66	17
63.35	13
67.67	23
72.74	24
87.63	10

No. 5
Diffraction record for DyPbI. The X-ray powder pattern is theoretical, not measured: it uses a DFT-relaxed cell (PBE, Alexandria) and Cu Kα.
No peak broadening, texture or thermal motion is included.

Structure:
a b c (Å): 7.7213 8.8542 6.2067
angles (deg): 90.00 99.91 90.00
Fractional positions:
1 Dy 0.0129 0.1192 0.2397
2 Dy 0.0129 0.3808 0.7397
3 Dy 0.9871 0.6192 0.2603
4 Dy 0.9871 0.8808 0.7603
5 Pb 0.3118 0.1421 0.9266
6 Pb 0.3118 0.3579 0.4266
7 Pb 0.6882 0.6421 0.5734
8 Pb 0.6882 0.8579 0.0734
9 I 0.2591 0.6290 0.9524
10 I 0.2591 0.8710 0.4524
11 I 0.7409 0.1290 0.5476
12 I 0.7409 0.3710 0.0476

Principal peaks in the range 2θ from 10° to 90°, in order of rising 2θ:
2theta	intensity
11.63	10
28.57	100
29.56	37
32.55	48
35.40	16
40.76	18
40.94	19
41.49	10
49.22	20
51.15	15
59.14	12
66.86	9

No. 6
Diffraction record for MnOsRh. The X-ray powder pattern is theoretical, not measured: it uses a DFT-relaxed cell (PBE, Alexandria) and Cu Kα.
No peak broadening, texture or thermal motion is included.

Structure:
a b c (Å): 6.6024 5.3176 4.6307
angles (deg): 90.00 103.65 90.00
Fractional positions:
1 Mn 0.1540 0.1247 0.4698
2 Mn 0.1540 0.3753 0.9698
3 Mn 0.8460 0.6247 0.0302
4 Mn 0.8460 0.8753 0.5302
5 Os 0.1554 0.6258 0.4633
6 Os 0.1554 0.8742 0.9633
7 Os 0.8446 0.1258 0.0367
8 Os 0.8446 0.3742 0.5367
9 Rh 0.4961 0.1252 0.2505
10 Rh 0.4961 0.3748 0.7505
11 Rh 0.5039 0.6252 0.2495
12 Rh 0.5039 0.8748 0.7495

Principal peaks in the range 2θ from 10° to 90°, in order of rising 2θ:
2theta	intensity
21.71	42
25.94	38
32.60	22
39.36	42
40.21	23
42.26	79
43.33	50
43.54	92
45.77	62
45.85	100
70.55	35
81.48	32